Record 1
Simulated X-ray diffraction stick pattern of Ce2CrGa12 for Cu Kα (weighted mean of Kα1 and Kα2), from a structure optimized by DFT (GGA-PBE).
Kinematic intensities with the Lorentz-polarization factor, no thermal factor.

Principal peaks in the range 10° ≤ 2θ ≤ 90°, most intense first:
d (Å)  Rel. int.
2.815  100
2.128  61
2.401  52
2.907  50
2.252  36
1.717  24

```
data_Ce2CrGa12
_chemical_formula_sum 'Ce4 Cr2 Ga24'
_cell_length_a 6.020
_cell_length_b 6.020
_cell_length_c 15.922
_cell_angle_alpha 90.00
_cell_angle_beta 90.00
_cell_angle_gamma 90.00
_symmetry_space_group_name_H-M 'P 4/n b m'
_symmetry_Int_Tables_number 125
loop_
_symmetry_equiv_pos_as_xyz
'x,y,z'
'-x,-y,-z'
'-y+1/2,x,z'
'y+1/2,-x,-z'
'-x+1/2,-y+1/2,z'
'x+1/2,y+1/2,-z'
'y,-x+1/2,z'
'-y,x+1/2,-z'
'x,-y+1/2,-z'
'-x,y+1/2,z'
'-y+1/2,-x+1/2,-z'
'y+1/2,x+1/2,z'
'-x+1/2,y,-z'
'x+1/2,-y,z'
'y,x,-z'
'-y,-x,z'
loop_
_atom_site_label
_atom_site_type_symbol
_atom_site_fract_x
_atom_site_fract_y
_atom_site_fract_z
Ce1 Ce 0.250 0.750 0.248
Cr1 Cr 0.250 0.750 0.000
Ga1 Ga 0.000 0.000 0.092
Ga2 Ga 0.080 0.580 0.431
Ga3 Ga 0.250 0.250 0.192
Ga4 Ga 0.250 0.250 0.345
```

***

Record 2
Simulated X-ray diffraction stick pattern of CeCrGe for Cu Kα (weighted mean of Kα1 and Kα2), from a structure optimized by DFT (GGA-PBE).
Kinematic intensities with the Lorentz-polarization factor, no thermal factor.

Principal peaks in the range 10° ≤ 2θ ≤ 90°, most intense first:
d (Å)  Rel. int.
2.256  100
2.082  56
2.944  54
3.112  47
2.715  30
1.233  27

```
data_CeCrGe
_chemical_formula_sum 'Ce4 Cr4 Ge4'
_cell_length_a 4.164
_cell_length_b 4.164
_cell_length_c 14.048
_cell_angle_alpha 90.00
_cell_angle_beta 90.00
_cell_angle_gamma 90.00
_symmetry_space_group_name_H-M 'I 4/m m m'
_symmetry_Int_Tables_number 139
_symmetry_space_group_name_Hall '-I 4 2'
loop_
_atom_site_label
_atom_site_type_symbol
_atom_site_fract_x
_atom_site_fract_y
_atom_site_fract_z
Ce1 Ce 0.000 0.000 0.156
Cr1 Cr 0.000 0.500 0.000
Ge1 Ge 0.000 0.000 0.389
```

***

Record 3
Simulated X-ray diffraction stick pattern of CeCrN4 for Cu Kα (weighted mean of Kα1 and Kα2), from a structure optimized by DFT (GGA-PBE).
Kinematic intensities with the Lorentz-polarization factor, no thermal factor.

Principal peaks in the range 10° ≤ 2θ ≤ 90°, most intense first:
d (Å)  Rel. int.
3.049  100
1.525  34
1.760  25
1.929  24
4.611  19
2.491  19

```
data_CeCrN4
_chemical_formula_sum 'Ce4 Cr4 N16'
_cell_length_a 4.982
_cell_length_b 4.982
_cell_length_c 12.189
_cell_angle_alpha 90.00
_cell_angle_beta 90.00
_cell_angle_gamma 90.00
_symmetry_space_group_name_H-M 'I 41/a'
_symmetry_Int_Tables_number 88
loop_
_symmetry_equiv_pos_as_xyz
'x,y,z'
'-x,-y,-z'
'-y+3/4,x+1/4,z+1/4'
'y+3/4,-x+1/4,-z+1/4'
'-x+1/2,-y,z+1/2'
'x+1/2,y,-z+1/2'
'y+3/4,-x+3/4,z+3/4'
'-y+3/4,x+3/4,-z+3/4'
'x+1/2,y+1/2,z+1/2'
'-x+1/2,-y+1/2,-z+1/2'
'-y+1/4,x+3/4,z+3/4'
'y+1/4,-x+3/4,-z+3/4'
'-x,-y+1/2,z'
'x,y+1/2,-z'
'y+1/4,-x+1/4,z+1/4'
'-y+1/4,x+1/4,-z+1/4'
loop_
_atom_site_label
_atom_site_type_symbol
_atom_site_fract_x
_atom_site_fract_y
_atom_site_fract_z
Ce1 Ce 0.000 0.250 0.125
Cr1 Cr 0.000 0.250 0.625
N1 N 0.113 0.484 0.296
```

***

Record 4
Simulated X-ray diffraction stick pattern of CeNp2CrN4 for Cu Kα (weighted mean of Kα1 and Kα2), from a structure optimized by DFT (GGA-PBE).
Kinematic intensities with the Lorentz-polarization factor, no thermal factor.

Principal peaks in the range 10° ≤ 2θ ≤ 90°, most intense first:
d (Å)  Rel. int.
3.168  100
2.796  95
2.301  71
2.863  61
2.454  54
1.691  53

```
data_CeNp2CrN4
_chemical_formula_sum 'Ce4 Np8 Cr4 N16'
_cell_length_a 3.342
_cell_length_b 11.453
_cell_length_c 11.408
_cell_angle_alpha 90.00
_cell_angle_beta 90.00
_cell_angle_gamma 90.00
_symmetry_space_group_name_H-M 'C m c m'
_symmetry_Int_Tables_number 63
_symmetry_space_group_name_Hall '-C 2c 2'
loop_
_atom_site_label
_atom_site_type_symbol
_atom_site_fract_x
_atom_site_fract_y
_atom_site_fract_z
Ce1 Ce 0.000 0.101 0.250
Np1 Np 0.000 0.368 0.052
Cr1 Cr 0.000 0.160 0.750
N1 N 0.000 0.000 0.000
N2 N 0.000 0.269 0.621
N3 N 0.000 0.442 0.250
```